1.
The following is a theoretical powder XRD pattern of LiFeSiO4. It was derived from a DFT-relaxed cell (GGA+U, the Materials Project), using a wavelength of 1.5418 Å.
Kinematic intensities with the Lorentz-polarization factor, no thermal factor.

Structure:
```
data_LiFeSiO4
_chemical_formula_sum 'Li2 Fe2 Si2 O8'
_cell_length_a 5.2323
_cell_length_b 5.2323
_cell_length_c 9.3392
_cell_angle_alpha 90.00
_cell_angle_beta 90.00
_cell_angle_gamma 120.00
_space_group_name_H-M_alt 'P 63'
_space_group_IT_number 173
_space_group_name_Hall 'P 6c'
loop_
_atom_site_label
_atom_site_fract_x
_atom_site_fract_y
_atom_site_fract_z
Li1 0.0000 0.0000 0.0000
Fe1 0.3333 0.6667 0.4372
Si1 0.3333 0.6667 0.0672
O1 0.0300 0.3765 0.0062
O2 0.3333 0.6667 0.2404
```

Peak list (10 most intense, 2θ from 5° to 70°, low angle first)
d 4.670, rel. 100, hkl 0 0 2; d 4.531, rel. 74, hkl 1 0 0; d 4.077, rel. 96, hkl 1 0 1; d 2.616, rel. 45, hkl 1 1 0; d 2.566, rel. 39, hkl 1 0 3; d 2.519, rel. 18, hkl 1 1 1; d 2.202, rel. 20, hkl 2 0 1; d 1.727, rel. 22, hkl 1 0 5; d 1.685, rel. 16, hkl 2 1 1; d 1.510, rel. 20, hkl 3 0 0

2.
The following is a theoretical powder XRD pattern of Li2FeSiO4. It was derived from a DFT-relaxed cell (GGA+U, the Materials Project), using a wavelength of 1.5418 Å.
Kinematic intensities with the Lorentz-polarization factor, no thermal factor.

Structure:
```
data_Li2FeSiO4
_chemical_formula_sum 'Li8 Fe4 Si4 O16'
_cell_length_a 8.325
_cell_length_b 5.105
_cell_length_c 8.347
_cell_angle_alpha 90.00
_cell_angle_beta 99.14
_cell_angle_gamma 90.00
_space_group_name_H-M_alt 'P 1 21 1'
_space_group_IT_number 4
_space_group_name_Hall 'P 2yb'
loop_
_atom_site_label
_atom_site_fract_x
_atom_site_fract_y
_atom_site_fract_z
Li1 0.083 0.000 0.079
Li2 0.165 0.402 0.664
Li3 0.335 0.017 0.836
Li4 0.417 0.418 0.421
Fe1 0.042 0.407 0.293
Fe2 0.457 0.011 0.207
Si1 0.208 0.902 0.459
Si2 0.291 0.517 0.040
O1 0.061 0.996 0.313
O2 0.114 0.399 0.072
O3 0.170 0.008 0.637
O4 0.216 0.578 0.464
O5 0.284 0.840 0.035
O6 0.330 0.411 0.863
O7 0.386 0.019 0.428
O8 0.438 0.422 0.186
```

Peak list (10 most intense, 2θ from 5° to 70°, low angle first)
d 5.406, rel. 55, hkl 1 0 1; d 3.712, rel. 100, hkl 1 1 1; d 3.173, rel. 44, hkl 2 0 -2; d 2.868, rel. 19, hkl 2 1 1; d 2.736, rel. 56, hkl 1 0 -3; d 2.703, rel. 30, hkl 2 0 2; d 2.553, rel. 51, hkl 0 2 0; d 2.415, rel. 20, hkl 3 1 0; d 1.586, rel. 17, hkl 4 0 -4; d 1.565, rel. 15, hkl 5 0 1

3.
The following is a theoretical powder XRD pattern of Li2FeSiO4. It was derived from a DFT-relaxed cell (GGA+U, the Materials Project), using a wavelength of 1.5418 Å.
Kinematic intensities with the Lorentz-polarization factor, no thermal factor.

Structure:
```
data_Li2FeSiO4
_chemical_formula_sum 'Li8 Fe4 Si4 O16'
_cell_length_a 11.006
_cell_length_b 5.160
_cell_length_c 6.288
_cell_angle_alpha 90.00
_cell_angle_beta 90.00
_cell_angle_gamma 90.00
_space_group_name_H-M_alt 'P n a 21'
_space_group_IT_number 33
_space_group_name_Hall 'P 2c -2n'
loop_
_atom_site_label
_atom_site_fract_x
_atom_site_fract_y
_atom_site_fract_z
Li1 0.074 0.213 0.000
Li2 0.161 0.811 0.252
Fe1 0.167 0.810 0.750
Si1 0.088 0.309 0.500
O1 0.052 0.803 0.000
O2 0.088 0.630 0.498
O3 0.159 0.206 0.282
O4 0.162 0.211 0.716
```

Peak list (10 most intense, 2θ from 5° to 70°, low angle first)
d 4.141, rel. 100, hkl 2 0 1; d 3.989, rel. 100, hkl 0 1 1; d 3.752, rel. 26, hkl 1 1 1; d 3.230, rel. 25, hkl 2 1 1; d 2.751, rel. 32, hkl 4 0 0; d 2.730, rel. 68, hkl 2 0 2; d 2.580, rel. 57, hkl 0 2 0; d 2.521, rel. 19, hkl 4 0 1; d 1.875, rel. 19, hkl 2 2 2; d 1.584, rel. 35, hkl 6 0 2